For ScMn8B2, the GGA-PBE geometry in Alexandria gives the simulated X-ray powder pattern in this record (Cu Kα (λ = 1.5418 Å)).
Peak positions follow from Bragg's law for the DFT cell and can differ from measured ones.

Top 12 peaks for 2θ = 10–90°, in order of rising 2θ:
- hkl 2 0 1, 36.66 deg, I = 1000
- hkl 1 3 1, 37.15 deg, I = 475
- hkl 0 4 1, 41.54 deg, I = 990
- hkl 0 0 2, 42.04 deg, I = 300
- hkl 1 1 2, 45.77 deg, I = 414
- hkl 0 2 2, 45.91 deg, I = 257
- hkl 3 1 0, 46.52 deg, I = 288
- hkl 2 4 0, 47.20 deg, I = 777
- hkl 1 5 0, 47.61 deg, I = 201
- hkl 3 1 1, 51.41 deg, I = 204
- hkl 3 3 2, 70.30 deg, I = 441
- hkl 1 7 2, 82.18 deg, I = 211

```
data_ScMn8B2
_cell_length_a 5.9693
_cell_length_b 10.0800
_cell_length_c 4.2981
_cell_angle_alpha 90.00
_cell_angle_beta 90.00
_cell_angle_gamma 90.00
_symmetry_space_group_name_H-M 'C m m m'
_symmetry_Int_Tables_number 65
_symmetry_space_group_name_Hall '-C 2 2'
loop_
_atom_site_label
_atom_site_type_symbol
_atom_site_fract_x
_atom_site_fract_y
_atom_site_fract_z
Sc1 Sc 0.0000 0.0000 0.0000
Mn1 Mn 0.0000 0.2756 0.0000
Mn2 Mn 0.0000 0.5000 0.2360
Mn3 Mn 0.1829 0.1362 0.5000
B1 B 0.0000 0.3131 0.5000
```